[1]
Nd2NpF8: theoretical powder XRD pattern (Cu Kα), based on a PBE-relaxed structure.
Intensities are scaled so that the largest is 100.

Main lines, in order of falling intensity (2θ from 10° to 90°):
two_theta  I (rel.)
26.48  100
43.04  98
27.23  90
26.74  45
33.10  44
54.80  27
47.06  23
46.59  22

Structural model:
abc: 6.836 6.836 6.836
angles: 146.86 121.62 68.80
Fractional positions:
Nd: 0.185 0.185 0.000
Nd: 0.815 0.815 0.000
Np: 0.500 0.500 0.000
F: 0.054 0.338 0.715
F: 0.191 0.000 0.191
F: 0.350 0.850 0.500
F: 0.377 0.662 0.715
F: 0.623 0.338 0.285
F: 0.650 0.150 0.500
F: 0.809 0.000 0.809
F: 0.946 0.662 0.285

=====

[2]
Nd4O3F7: theoretical powder XRD pattern (Cu Kα), based on a PBE-relaxed structure.
Intensities are scaled so that the largest is 100.

Main lines, in order of falling intensity (2θ from 10° to 90°):
two_theta  I (rel.)
26.92  100
27.21  89
42.93  45
51.57  39
46.02  36
29.82  32
30.16  30
33.93  26

Structural model:
abc: 5.285 5.926 5.994
angles: 90.00 90.90 90.00
Fractional positions:
Nd: 0.229 0.000 0.249
Nd: 0.253 0.481 0.753
Nd: 0.747 0.481 0.247
Nd: 0.771 0.000 0.751
O: 0.000 0.232 0.500
O: 0.000 0.268 0.000
O: 0.500 0.250 0.500
F: 0.000 0.717 0.500
F: 0.200 0.877 0.851
F: 0.309 0.598 0.153
F: 0.500 0.210 0.000
F: 0.500 0.774 0.500
F: 0.691 0.598 0.847
F: 0.800 0.877 0.149

=====

[3]
Nd2O3F3: theoretical powder XRD pattern (Cu Kα), based on a PBE-relaxed structure.
Intensities are scaled so that the largest is 100.

Main lines, in order of falling intensity (2θ from 10° to 90°):
two_theta  I (rel.)
27.77  100
17.27  95
41.44  65
30.14  62
52.09  61
54.25  25
86.94  23
69.88  18

Structural model:
abc: 5.930 5.930 4.117
angles: 90.00 90.00 120.00
Fractional positions:
Nd: 0.000 0.000 0.000
Nd: 0.333 0.667 0.500
O: 0.108 0.453 0.000
O: 0.346 0.892 0.000
O: 0.547 0.654 0.000
F: 0.268 0.235 0.500
F: 0.765 0.033 0.500
F: 0.967 0.732 0.500